Diffraction record for Ce2Sb7Rh12. The powder X-ray diffraction pattern is calculated, not measured: it uses a DFT-relaxed cell (GGA-PBE, Alexandria) and Cu Kα (weighted mean of Kα1 and Kα2).
Peak positions follow from Bragg's law for the DFT cell and can differ from measured ones.

a b c (Å): 10.5299 10.5299 4.1064
angles (deg): 90.00 90.00 120.00
Space group P-3 (No. 147)
Asymmetric unit:
1 Ce 0.3333 0.6667 0.2453
2 Sb 0.0000 0.0000 0.5000
3 Sb 0.1127 0.7098 0.7454
4 Rh 0.0640 0.4431 0.7512
5 Rh 0.1194 0.2636 0.2420

Largest 10 diffraction maxima, by angle, 2θ from 10° to 90°:
34.0°, I = 100.0; 36.8°, I = 11.8; 42.0°, I = 24.8; 43.2°, I = 9.5; 44.1°, I = 21.3; 45.6°, I = 44.0; 48.9°, I = 12.1; 65.3°, I = 14.9; 74.6°, I = 9.6; 76.8°, I = 12.4